Computed powder diffraction line list of NaFeO2 for copper Kα, from a GGA+U-relaxed structure.
Neutral-atom scattering factors, no anomalous dispersion.

Crystal structure
```
data_NaFeO2
_chemical_formula_sum 'Na4 Fe4 O8'
_symmetry_space_group_name_H-M 'P 1'
_symmetry_Int_Tables_number 1
_symmetry_space_group_name_Hall 'P 1'
_cell_length_a 5.662
_cell_length_b 5.662
_cell_length_c 7.312
_cell_angle_alpha 90.00
_cell_angle_beta 90.00
_cell_angle_gamma 90.00
loop_
_atom_site_label
_atom_site_type_symbol
_atom_site_fract_x
_atom_site_fract_y
_atom_site_fract_z
Na1 Na 0.198 0.198 0.000
Na2 Na 0.302 0.698 0.250
Na3 Na 0.698 0.302 0.750
Na4 Na 0.802 0.802 0.500
Fe1 Fe 0.188 0.188 0.500
Fe2 Fe 0.312 0.688 0.750
Fe3 Fe 0.688 0.312 0.250
Fe4 Fe 0.812 0.812 0.000
O1 O 0.147 0.779 0.965
O2 O 0.221 0.853 0.535
O3 O 0.279 0.353 0.715
O4 O 0.353 0.279 0.285
O5 O 0.647 0.721 0.785
O6 O 0.721 0.647 0.215
O7 O 0.779 0.147 0.035
O8 O 0.853 0.221 0.465
```

Principal peaks in the range 2θ from 10° to 90°, in order of rising 2θ:
2theta, I/Imax, hkl
19.83, 86, 1 0 1
29.07, 68, 1 0 2
31.60, 100, 2 0 0
33.18, 61, 1 1 2
43.47, 31, 2 1 2
54.73, 50, 3 0 2
60.27, 25, 2 0 4
64.59, 38, 3 2 2